Starting from a GGA+U-relaxed structure, the powder diffraction line list of Li4Cr3FeO8 was computed for copper Kα.
Kinematic intensities with the Lorentz-polarization factor, no thermal factor.

Atomic structure:
a = 5.9083 Å, b = 5.9083 Å, c = 5.1650 Å
α = 106.69°, β = 106.69°, γ = 60.30°
Fractional positions:
1 Li 0.2494 0.7506 0.0000
2 Li 0.2496 0.2496 0.9988
3 Li 0.7504 0.7504 0.0012
4 Li 0.7506 0.2494 0.0000
5 Cr 0.0000 0.0000 0.5000
6 Cr 0.0000 0.5000 0.5000
7 Cr 0.5000 0.0000 0.5000
8 Fe 0.5000 0.5000 0.5000
9 O 0.1273 0.6296 0.2721
10 O 0.1294 0.1294 0.2738
11 O 0.3697 0.3697 0.7272
12 O 0.3704 0.8727 0.7279
13 O 0.6296 0.1273 0.2721
14 O 0.6303 0.6303 0.2728
15 O 0.8706 0.8706 0.7262
16 O 0.8727 0.3704 0.7279

Top 12 peaks for 2θ from 5° to 70°, in order of rising 2θ:
d_spacing	intensity
4.872	100
2.527	27
2.517	14
2.422	8
2.098	82
1.930	9
1.619	14
1.489	14
1.484	15
1.477	15
1.419	5
1.413	5

=====

Starting from a GGA+U-relaxed structure, the powder diffraction line list of Na4V2C4SO16 was computed for copper Kα.
Kinematic intensities with the Lorentz-polarization factor, no thermal factor.

Atomic structure:
a = 10.0097 Å, b = 9.9893 Å, c = 9.8056 Å
α = 60.74°, β = 60.54°, γ = 58.72°
Fractional positions:
1 Na 0.0838 0.6662 0.0838
2 Na 0.0843 0.6657 0.6657
3 Na 0.3338 0.9162 0.3338
4 Na 0.3343 0.9157 0.9157
5 Na 0.6657 0.0843 0.0843
6 Na 0.6662 0.0838 0.6662
7 Na 0.9157 0.3343 0.3343
8 Na 0.9162 0.3338 0.9162
9 V 0.0000 0.5000 0.5000
10 V 0.5000 0.0000 0.5000
11 V 0.5000 0.5000 0.0000
12 V 0.5000 0.5000 0.5000
13 C 0.2783 0.6401 0.2893
14 C 0.2893 0.2923 0.2783
15 C 0.2923 0.2893 0.6401
16 C 0.3599 0.7217 0.7077
17 C 0.6401 0.2783 0.2923
18 C 0.7077 0.7107 0.3599
19 C 0.7107 0.7077 0.7217
20 C 0.7217 0.3599 0.7107
21 S 0.1250 0.1250 0.1250
22 S 0.8750 0.8750 0.8750
23 O 0.0570 0.3098 0.0670
24 O 0.0662 0.0670 0.3098
25 O 0.0670 0.0662 0.0570
26 O 0.1397 0.6363 0.3175
27 O 0.1440 0.3242 0.3879
28 O 0.1461 0.4018 0.6468
29 O 0.3052 0.6468 0.4018
30 O 0.3098 0.0570 0.0662
31 O 0.3175 0.4065 0.1397
32 O 0.3242 0.1440 0.6439
33 O 0.3532 0.6948 0.8539
34 O 0.3561 0.6121 0.6758
35 O 0.3637 0.8603 0.5935
36 O 0.3879 0.6439 0.1440
37 O 0.4018 0.1461 0.3052
38 O 0.4065 0.3175 0.6363
39 O 0.5935 0.6825 0.3637
40 O 0.5982 0.8539 0.6948
41 O 0.6121 0.3561 0.8560
42 O 0.6363 0.1397 0.4065
43 O 0.6439 0.3879 0.3242
44 O 0.6468 0.3052 0.1461
45 O 0.6758 0.8560 0.3561
46 O 0.6825 0.5935 0.8603
47 O 0.6902 0.9430 0.9338
48 O 0.6948 0.3532 0.5982
49 O 0.8539 0.5982 0.3532
50 O 0.8560 0.6758 0.6121
51 O 0.8603 0.3637 0.6825
52 O 0.9330 0.9338 0.9430
53 O 0.9338 0.9330 0.6902
54 O 0.9430 0.6902 0.9330

Top 12 peaks for 2θ from 5° to 70°, in order of rising 2θ:
d_spacing	intensity
8.107	88
4.996	100
4.314	94
4.196	100
2.765	49
2.702	26
2.677	60
2.667	54
2.498	57
2.451	21
2.407	20
1.642	24

=====

Starting from a GGA+U-relaxed structure, the powder diffraction line list of Ba2Mn4Tl2Zn3O12 was computed for copper Kα.
Kinematic intensities with the Lorentz-polarization factor, no thermal factor.

Atomic structure:
a = 23.1472 Å, b = 23.1472 Å, c = 23.1472 Å
α = 170.46°, β = 170.46°, γ = 13.51°
Fractional positions:
1 Ba 0.1640 0.1640 0.0000
2 Ba 0.8360 0.8360 0.0000
3 Mn 0.3905 0.3905 0.0000
4 Mn 0.4640 0.4640 0.0000
5 Mn 0.5360 0.5360 0.0000
6 Mn 0.6095 0.6095 0.0000
7 Tl 0.2751 0.2751 0.0000
8 Tl 0.7249 0.7249 0.0000
9 Zn 0.0000 0.0000 0.0000
10 Zn 0.0792 0.0792 0.0000
11 Zn 0.9208 0.9208 0.0000
12 O 0.0303 0.5303 0.5000
13 O 0.0968 0.5968 0.5000
14 O 0.2214 0.2214 0.0000
15 O 0.3459 0.3459 0.0000
16 O 0.4032 0.9032 0.5000
17 O 0.4697 0.9697 0.5000
18 O 0.5303 0.0303 0.5000
19 O 0.5968 0.0968 0.5000
20 O 0.6541 0.6541 0.0000
21 O 0.7786 0.7786 0.0000
22 O 0.9032 0.4032 0.5000
23 O 0.9697 0.4697 0.5000

Top 12 peaks for 2θ from 5° to 70°, in order of rising 2θ:
d_spacing	intensity
11.493	26
3.321	44
3.074	98
2.873	31
2.831	99
2.722	100
2.703	24
1.925	55
1.862	31
1.631	32
1.599	19
1.592	35

=====

Starting from a GGA+U-relaxed structure, the powder diffraction line list of CaH6W3C2O4 was computed for copper Kα.
Kinematic intensities with the Lorentz-polarization factor, no thermal factor.

Atomic structure:
a = 5.5763 Å, b = 8.3915 Å, c = 11.3601 Å
α = 81.23°, β = 77.88°, γ = 80.90°
Fractional positions:
1 Ca 0.1543 0.1798 0.2460
2 Ca 0.8457 0.8202 0.7540
3 H 0.1095 0.7107 0.1023
4 H 0.1265 0.9374 0.1965
5 H 0.1281 0.0367 0.9116
6 H 0.2989 0.4314 0.8421
7 H 0.3526 0.7190 0.7173
8 H 0.4633 0.8148 0.1621
9 H 0.5367 0.1852 0.8379
10 H 0.6474 0.2810 0.2827
11 H 0.7011 0.5686 0.1579
12 H 0.8719 0.9633 0.0884
13 H 0.8735 0.0626 0.8035
14 H 0.8905 0.2893 0.8977
15 W 0.2329 0.2337 0.9379
16 W 0.2433 0.5671 0.9746
17 W 0.2707 0.9131 0.0456
18 W 0.7293 0.0869 0.9544
19 W 0.7567 0.4329 0.0254
20 W 0.7671 0.7663 0.0621
21 C 0.1005 0.5740 0.3642
22 C 0.3648 0.8375 0.6546
23 C 0.6352 0.1625 0.3454
24 C 0.8995 0.4260 0.6358
25 O 0.0536 0.6763 0.4281
26 O 0.1474 0.4692 0.3014
27 O 0.1717 0.8993 0.6149
28 O 0.4313 0.1073 0.3645
29 O 0.5687 0.8927 0.6355
30 O 0.8283 0.1007 0.3851
31 O 0.8526 0.5308 0.6986
32 O 0.9464 0.3237 0.5719

Top 12 peaks for 2θ from 5° to 70°, in order of rising 2θ:
d_spacing	intensity
11.022	100
5.511	17
3.674	7
3.513	5
2.750	7
2.703	5
2.641	4
2.584	5
2.517	5
2.408	5
2.285	5
2.263	6

=====

Starting from a GGA+U-relaxed structure, the powder diffraction line list of MgFe6O8F4 was computed for copper Kα.
Kinematic intensities with the Lorentz-polarization factor, no thermal factor.

Atomic structure:
a = 5.1865 Å, b = 5.2017 Å, c = 8.7849 Å
α = 87.82°, β = 87.51°, γ = 76.90°
Fractional positions:
1 Mg 0.0000 0.0000 0.0000
2 Fe 0.0468 0.6262 0.4708
3 Fe 0.4336 0.0196 0.6296
4 Fe 0.4742 0.0575 0.3040
5 Fe 0.4841 0.0877 0.9754
6 Fe 0.8917 0.4865 0.1606
7 Fe 0.9330 0.5213 0.8024
8 O 0.1315 0.3369 0.9763
9 O 0.1734 0.3680 0.3057
10 O 0.1838 0.3700 0.6473
11 O 0.2802 0.8765 0.4697
12 O 0.6939 0.2126 0.1431
13 O 0.7726 0.7527 0.6454
14 O 0.7741 0.7448 0.3124
15 O 0.7781 0.7453 0.9749
16 F 0.2703 0.8796 0.8219
17 F 0.2864 0.8813 0.1445
18 F 0.6269 0.2033 0.4757
19 F 0.7234 0.2385 0.8138

Top 12 peaks for 2θ from 5° to 70°, in order of rising 2θ:
d_spacing	intensity
4.444	15
4.062	100
3.230	84
2.567	47
2.501	23
2.492	17
2.434	29
1.946	25
1.709	19
1.681	16
1.615	16
1.481	17

=====

Starting from a GGA+U-relaxed structure, the powder diffraction line list of LiFeP3O9 was computed for copper Kα.
Kinematic intensities with the Lorentz-polarization factor, no thermal factor.

Atomic structure:
a = 8.5362 Å, b = 8.6389 Å, c = 8.8546 Å
α = 90.00°, β = 90.00°, γ = 90.00°
Fractional positions:
1 Li 0.1534 0.1346 0.1143
2 Li 0.3466 0.8654 0.6143
3 Li 0.6534 0.3654 0.8857
4 Li 0.8466 0.6346 0.3857
5 Fe 0.1284 0.8571 0.3407
6 Fe 0.3716 0.1429 0.8407
7 Fe 0.6284 0.6429 0.6593
8 Fe 0.8716 0.3571 0.1593
9 P 0.0280 0.3219 0.8176
10 P 0.1888 0.4780 0.3093
11 P 0.2003 0.8088 0.9382
12 P 0.2997 0.1912 0.4382
13 P 0.3112 0.5220 0.8093
14 P 0.4720 0.6781 0.3176
15 P 0.5280 0.1781 0.1824
16 P 0.6888 0.0220 0.6907
17 P 0.7003 0.6912 0.0618
18 P 0.7997 0.3088 0.5618
19 P 0.8112 0.9780 0.1907
20 P 0.9720 0.8219 0.6824
21 O 0.0404 0.7746 0.8453
22 O 0.0918 0.6125 0.3637
23 O 0.1038 0.8767 0.5836
24 O 0.1238 0.3823 0.1814
25 O 0.1292 0.1938 0.8784
26 O 0.1386 0.4642 0.7639
27 O 0.1580 0.8615 0.0936
28 O 0.1917 0.0920 0.3440
29 O 0.2279 0.3643 0.4501
30 O 0.2721 0.6357 0.9501
31 O 0.3083 0.9080 0.8440
32 O 0.3420 0.1385 0.5936
33 O 0.3614 0.5358 0.2639
34 O 0.3708 0.8062 0.3784
35 O 0.3762 0.6177 0.6814
36 O 0.3962 0.1233 0.0836
37 O 0.4082 0.3875 0.8637
38 O 0.4596 0.2254 0.3453
39 O 0.5404 0.7254 0.1547
40 O 0.5918 0.8875 0.6363
41 O 0.6038 0.6233 0.4164
42 O 0.6238 0.1177 0.8186
43 O 0.6292 0.3062 0.1216
44 O 0.6386 0.0358 0.2361
45 O 0.6580 0.6385 0.9064
46 O 0.6917 0.4080 0.6560
47 O 0.7279 0.1357 0.5499
48 O 0.7721 0.8643 0.0499
49 O 0.8083 0.5920 0.1560
50 O 0.8420 0.3615 0.4064
51 O 0.8614 0.9642 0.7361
52 O 0.8708 0.6938 0.6216
53 O 0.8762 0.8823 0.3186
54 O 0.8962 0.3767 0.9164
55 O 0.9082 0.1125 0.1363
56 O 0.9596 0.2746 0.6547

Top 12 peaks for 2θ from 5° to 70°, in order of rising 2θ:
d_spacing	intensity
4.427	23
3.930	100
3.854	78
3.827	20
3.577	20
3.534	20
3.513	37
2.872	17
2.793	33
2.729	41
2.709	37
2.585	15